Structure and simulated X-ray diffraction stick pattern of NbCoSe4 (DFT lattice parameters and positions (PBE); copper Kα).

Principal peaks in the range 10° ≤ 2θ ≤ 90°, by intensity:
2θ/deg  d/Å  Rel. int.
33.02  2.713  100.0
30.40  2.940  77.1
33.49  2.676  57.3
33.84  2.649  55.9
44.63  2.030  52.2
44.91  2.018  50.4
21.71  4.093  36.9
52.20  1.752  31.2

Cell lengths 7.011, 5.399, 7.238 Å; angles 90.00, 119.88, 90.00 degrees
Sites, in units of the cell vectors:
Nb1 0.000 0.000 0.000
Nb2 0.000 0.500 0.500
Co1 0.500 0.000 0.000
Co2 0.500 0.500 0.500
Se1 0.192 0.216 0.364
Se2 0.192 0.284 0.864
Se3 0.332 0.703 0.142
Se4 0.332 0.797 0.642
Se5 0.668 0.203 0.358
Se6 0.668 0.297 0.858
Se7 0.808 0.716 0.136
Se8 0.808 0.784 0.636


Structure and simulated X-ray diffraction stick pattern of NaLiCuN (DFT lattice parameters and positions (PBE); copper Kα).

Principal peaks in the range 10° ≤ 2θ ≤ 90°, by intensity:
2θ/deg  d/Å  Rel. int.
25.90  3.440  100.0
20.63  4.305  78.8
39.53  2.280  69.2
34.42  2.606  65.6
40.09  2.249  44.5
26.71  3.338  32.9
65.88  1.418  26.1
40.47  2.229  25.2

Cell lengths 5.033, 5.033, 5.033 Å; angles 137.83, 136.22, 62.41 degrees
Sites, in units of the cell vectors:
Na1 0.000 0.000 0.000
Li1 0.295 0.295 0.000
Cu1 0.678 0.678 0.000
N1 0.711 0.211 0.500


Structure and simulated X-ray diffraction stick pattern of Ac3In3Ir (DFT lattice parameters and positions (PBE); copper Kα).

Principal peaks in the range 10° ≤ 2θ ≤ 90°, by intensity:
2θ/deg  d/Å  Rel. int.
33.10  2.706  100.0
30.34  2.946  94.3
28.56  3.125  49.0
50.59  1.804  48.7
39.02  2.308  25.0
45.51  1.993  22.7
42.15  2.144  22.2
60.13  1.539  18.2

Cell lengths 10.826, 10.826, 10.826 Å; angles 60.00, 60.00, 60.00 degrees
Sites, in units of the cell vectors:
Ac1 0.080 0.080 0.670
Ac2 0.080 0.670 0.080
Ac3 0.080 0.670 0.670
Ac4 0.330 0.330 0.920
Ac5 0.330 0.920 0.330
Ac6 0.330 0.920 0.920
Ac7 0.670 0.080 0.080
Ac8 0.670 0.080 0.670
Ac9 0.670 0.670 0.080
Ac10 0.920 0.330 0.330
Ac11 0.920 0.330 0.920
Ac12 0.920 0.920 0.330
In1 0.000 0.500 0.500
In2 0.296 0.296 0.296
In3 0.296 0.296 0.613
In4 0.296 0.613 0.296
In5 0.387 0.704 0.704
In6 0.500 0.000 0.500
In7 0.500 0.500 0.000
In8 0.500 0.500 0.500
In9 0.613 0.296 0.296
In10 0.704 0.387 0.704
In11 0.704 0.704 0.387
In12 0.704 0.704 0.704
Ir1 0.000 0.000 0.000
Ir2 0.000 0.000 0.500
Ir3 0.000 0.500 0.000
Ir4 0.500 0.000 0.000


Structure and simulated X-ray diffraction stick pattern of Ac12Pm5Sm (DFT lattice parameters and positions (PBE); copper Kα).

Principal peaks in the range 10° ≤ 2θ ≤ 90°, by intensity:
2θ/deg  d/Å  Rel. int.
29.83  2.995  100.0
30.09  2.970  45.9
28.59  3.122  36.3
55.42  1.658  23.1
51.42  1.777  22.6
26.11  3.413  20.6
46.41  1.957  19.3
55.84  1.646  15.9

Cell lengths 6.245, 11.740, 11.740 Å; angles 60.72, 90.00, 90.00 degrees
Sites, in units of the cell vectors:
Ac1 0.000 0.162 0.838
Ac2 0.000 0.171 0.495
Ac3 0.000 0.495 0.171
Ac4 0.000 0.504 0.829
Ac5 0.000 0.829 0.504
Ac6 0.000 0.838 0.162
Ac7 0.500 0.278 0.954
Ac8 0.500 0.287 0.611
Ac9 0.500 0.611 0.287
Ac10 0.500 0.621 0.945
Ac11 0.500 0.945 0.621
Ac12 0.500 0.954 0.278
Pm1 0.000 0.171 0.171
Pm2 0.000 0.838 0.838
Pm3 0.500 0.278 0.278
Pm4 0.500 0.611 0.611
Pm5 0.500 0.945 0.945
Sm1 0.000 0.504 0.504


Structure and simulated X-ray diffraction stick pattern of Zn4Rh3 (DFT lattice parameters and positions (PBE); copper Kα).

Principal peaks in the range 10° ≤ 2θ ≤ 90°, by intensity:
2θ/deg  d/Å  Rel. int.
42.14  2.144  100.0
42.31  2.136  98.6
61.25  1.513  31.1
77.14  1.236  29.6
77.02  1.238  14.9
77.50  1.232  14.8
29.51  3.027  7.9
52.28  1.750  2.3

Cell lengths 6.779, 6.779, 6.779 Å; angles 113.65, 113.65, 113.65 degrees
Sites, in units of the cell vectors:
Zn1 0.000 0.000 0.000
Zn2 0.072 0.775 0.628
Zn3 0.225 0.372 0.928
Zn4 0.372 0.928 0.225
Zn5 0.500 0.500 0.500
Zn6 0.628 0.072 0.775
Zn7 0.775 0.628 0.072
Zn8 0.928 0.225 0.372
Rh1 0.136 0.551 0.272
Rh2 0.272 0.136 0.551
Rh3 0.449 0.728 0.864
Rh4 0.551 0.272 0.136
Rh5 0.728 0.864 0.449
Rh6 0.864 0.449 0.728


Structure and simulated X-ray diffraction stick pattern of HfAlGa (DFT lattice parameters and positions (PBE); copper Kα).

Principal peaks in the range 10° ≤ 2θ ≤ 90°, by intensity:
2θ/deg  d/Å  Rel. int.
37.06  2.426  100.0
34.43  2.605  81.3
24.63  3.615  34.3
36.59  2.456  32.4
17.55  5.052  27.4
35.54  2.526  26.5
44.65  2.029  26.5
53.18  1.722  24.5

Cell lengths 5.533, 5.533, 5.533 Å; angles 136.97, 88.19, 107.49 degrees
Sites, in units of the cell vectors:
Hf1 0.180 0.250 0.430
Hf2 0.820 0.750 0.570
Al1 0.202 0.548 0.154
Al2 0.393 0.048 0.846
Ga1 0.605 0.951 0.154
Ga2 0.797 0.451 0.846


Structure and simulated X-ray diffraction stick pattern of K3CuF5 (DFT lattice parameters and positions (PBE); copper Kα).

Principal peaks in the range 10° ≤ 2θ ≤ 90°, by intensity:
2θ/deg  d/Å  Rel. int.
35.35  2.539  100.0
28.71  3.110  85.2
46.19  1.965  28.7
38.33  2.348  26.9
17.44  5.085  25.0
28.83  3.097  23.2
57.32  1.607  21.7
59.43  1.555  18.8

Cell lengths 8.014, 8.014, 8.014 Å; angles 126.69, 126.69, 78.76 degrees
Sites, in units of the cell vectors:
K1 0.174 0.674 0.848
K2 0.250 0.250 0.000
K3 0.326 0.174 0.500
K4 0.674 0.826 0.500
K5 0.750 0.750 0.000
K6 0.826 0.326 0.152
Cu1 0.250 0.750 0.500
Cu2 0.750 0.250 0.500
F1 0.000 0.000 0.000
F2 0.007 0.787 0.500
F3 0.213 0.713 0.220
F4 0.287 0.507 0.500
F5 0.493 0.993 0.780
F6 0.500 0.500 0.000
F7 0.507 0.007 0.220
F8 0.713 0.493 0.500
F9 0.787 0.287 0.780
F10 0.993 0.213 0.500


Structure and simulated X-ray diffraction stick pattern of KH3Pd2 (DFT lattice parameters and positions (PBE); copper Kα).

Principal peaks in the range 10° ≤ 2θ ≤ 90°, by intensity:
2θ/deg  d/Å  Rel. int.
18.53  4.789  100.0
14.35  6.174  82.5
34.62  2.591  58.2
38.26  2.352  52.5
56.19  1.637  44.1
28.92  3.087  44.0
48.70  1.870  37.0
30.10  2.969  31.6

Cell lengths 6.264, 6.264, 5.401 Å; angles 90.00, 90.00, 99.74 degrees
Sites, in units of the cell vectors:
K1 0.200 0.800 0.750
K2 0.800 0.200 0.250
H1 0.171 0.222 0.750
H2 0.222 0.171 0.250
H3 0.496 0.504 0.250
H4 0.504 0.496 0.750
H5 0.778 0.829 0.750
H6 0.829 0.778 0.250
Pd1 0.329 0.329 0.000
Pd2 0.329 0.329 0.500
Pd3 0.671 0.671 0.000
Pd4 0.671 0.671 0.500